Entry 1:
This entry pairs a crystal structure of CdGa10Pb2 with its calculated PXRD pattern. Radiation: Cu Kα (weighted mean of Kα1 and Kα2). Structure: a structure optimized by DFT (GGA-PBE).
Peak positions follow from Bragg's law for the DFT cell and can differ from measured ones.

Main lines, in order of rising 2θ (2θ from 10° to 90°):
d/Å	intensity
7.192	75
7.121	96
4.627	54
3.096	54
3.042	54
2.651	66
2.455	75
2.232	100

Structural model:
```
data_CdGa10Pb2
_symmetry_space_group_name_H-M 'P 1'
_symmetry_Int_Tables_number 1
_cell_length_a 8.1951
_cell_length_b 14.3850
_cell_length_c 6.0837
_cell_angle_alpha 90.00
_cell_angle_beta 90.00
_cell_angle_gamma 90.00
loop_
_symmetry_equiv_pos_as_xyz
'x,y,z'
loop_
_atom_site_label
_atom_site_type_symbol
_atom_site_fract_x
_atom_site_fract_y
_atom_site_fract_z
_atom_site_occupancy
Cd1 Cd 0.0000 0.0000 0.0000 1
Cd2 Cd 0.5000 0.5000 0.0000 1
Ga1 Ga 0.0594 0.3496 0.0000 1
Ga2 Ga 0.0643 0.8062 0.0000 1
Ga3 Ga 0.1682 0.5295 0.0000 1
Ga4 Ga 0.2274 0.8930 0.2998 1
Ga5 Ga 0.2274 0.8930 0.7002 1
Ga6 Ga 0.2726 0.3930 0.2998 1
Ga7 Ga 0.2726 0.3930 0.7002 1
Ga8 Ga 0.3318 0.0295 0.0000 1
Ga9 Ga 0.4357 0.3062 0.0000 1
Ga10 Ga 0.4406 0.8496 0.0000 1
Ga11 Ga 0.5594 0.1504 0.0000 1
Ga12 Ga 0.5643 0.6938 0.0000 1
Ga13 Ga 0.6682 0.9705 0.0000 1
Ga14 Ga 0.7274 0.6070 0.2998 1
Ga15 Ga 0.7274 0.6070 0.7002 1
Ga16 Ga 0.7726 0.1070 0.2998 1
Ga17 Ga 0.7726 0.1070 0.7002 1
Ga18 Ga 0.8318 0.4705 0.0000 1
Ga19 Ga 0.9357 0.1938 0.0000 1
Ga20 Ga 0.9406 0.6504 0.0000 1
Pb1 Pb 0.1415 0.0944 0.5000 1
Pb2 Pb 0.3585 0.5944 0.5000 1
Pb3 Pb 0.6415 0.4056 0.5000 1
Pb4 Pb 0.8585 0.9056 0.5000 1
```


Entry 2:
This entry pairs a crystal structure of Cd9Ga3Pb with its calculated PXRD pattern. Radiation: Cu Kα (weighted mean of Kα1 and Kα2). Structure: a structure optimized by DFT (GGA-PBE).
Peak positions follow from Bragg's law for the DFT cell and can differ from measured ones.

Main lines, in order of rising 2θ (2θ from 10° to 90°):
d/Å	intensity
2.938	39
2.914	47
2.899	41
2.615	100
2.542	86
2.528	47
2.508	47
2.476	48

Structural model:
```
data_Cd9Ga3Pb
_symmetry_space_group_name_H-M 'P 1'
_symmetry_Int_Tables_number 1
_cell_length_a 8.0341
_cell_length_b 8.0341
_cell_length_c 7.4695
_cell_angle_alpha 97.80
_cell_angle_beta 97.80
_cell_angle_gamma 137.70
loop_
_symmetry_equiv_pos_as_xyz
'x,y,z'
loop_
_atom_site_label
_atom_site_type_symbol
_atom_site_fract_x
_atom_site_fract_y
_atom_site_fract_z
_atom_site_occupancy
Cd1 Cd 0.0000 0.0000 0.0000 1
Cd2 Cd 0.0050 0.6545 0.1500 1
Cd3 Cd 0.2938 0.5099 0.2853 1
Cd4 Cd 0.3455 0.9950 0.8500 1
Cd5 Cd 0.4901 0.7062 0.7147 1
Cd6 Cd 0.5099 0.2938 0.2853 1
Cd7 Cd 0.6545 0.0050 0.1500 1
Cd8 Cd 0.7062 0.4901 0.7147 1
Cd9 Cd 0.9950 0.3455 0.8500 1
Ga1 Ga 0.0000 0.5000 0.5000 1
Ga2 Ga 0.5000 0.0000 0.5000 1
Ga3 Ga 0.5000 0.5000 0.0000 1
Pb1 Pb 0.0000 0.0000 0.5000 1
```


Entry 3:
This entry pairs a crystal structure of CdGaPd with its calculated PXRD pattern. Radiation: Cu Kα (weighted mean of Kα1 and Kα2). Structure: a structure optimized by DFT (GGA-PBE).
Peak positions follow from Bragg's law for the DFT cell and can differ from measured ones.

Main lines, in order of rising 2θ (2θ from 10° to 90°):
d/Å	intensity
3.131	9
2.343	59
2.296	100
1.657	21
1.344	34
1.317	12
1.172	7
1.148	8

Structural model:
```
data_CdGaPd
_symmetry_space_group_name_H-M 'P 1'
_symmetry_Int_Tables_number 1
_cell_length_a 3.3141
_cell_length_b 3.3141
_cell_length_c 9.5534
_cell_angle_alpha 90.00
_cell_angle_beta 90.00
_cell_angle_gamma 90.00
loop_
_symmetry_equiv_pos_as_xyz
'x,y,z'
loop_
_atom_site_label
_atom_site_type_symbol
_atom_site_fract_x
_atom_site_fract_y
_atom_site_fract_z
_atom_site_occupancy
Cd1 Cd 0.0000 0.0000 0.0000 1
Cd2 Cd 0.5000 0.5000 0.5000 1
Ga1 Ga 0.0000 0.0000 0.3077 1
Ga2 Ga 0.5000 0.5000 0.8077 1
Pd1 Pd 0.0000 0.0000 0.6841 1
Pd2 Pd 0.5000 0.5000 0.1841 1
```